The following is a simulated X-ray powder pattern of ScInCu4. It was derived from a structure optimized by DFT (GGA-PBE), using Cu Kα.
Neutral-atom scattering factors, no anomalous dispersion.

Cell and atoms:
abc: 7.078 7.078 7.078
angles: 90.00 90.00 90.00
Space group F-43m (No. 216)
Unique sites:
Sc1 0.000 0.000 0.000
In1 0.250 0.250 0.750
Cu1 0.125 0.125 0.375

Peak list (10 most intense, 10 to 80 degrees two-theta, low angle first)
- 2θ = 21.7°, I = 9, hkl 1 1 1
- 2θ = 25.2°, I = 8, hkl 2 0 0
- 2θ = 35.9°, I = 32, hkl 2 2 0
- 2θ = 42.3°, I = 100, hkl 3 1 1
- 2θ = 44.3°, I = 36, hkl 2 2 2
- 2θ = 51.7°, I = 3, hkl 4 0 0
- 2θ = 58.3°, I = 3, hkl 4 2 0
- 2θ = 64.5°, I = 11, hkl 4 2 2
- 2θ = 68.9°, I = 29, hkl 5 1 1
- 2θ = 76.1°, I = 23, hkl 4 4 0

=====

The following is a simulated X-ray powder pattern of U2Te2O. It was derived from a structure optimized by DFT (GGA-PBE), using Cu Kα.
Neutral-atom scattering factors, no anomalous dispersion.

Cell and atoms:
abc: 3.170 3.170 13.758
angles: 90.00 90.00 90.00
Space group P4/mmm (No. 123)
Unique sites:
U1 0.000 0.000 0.149
Te1 0.000 0.000 0.370
O1 0.000 0.000 0.000

Peak list (10 most intense, 10 to 80 degrees two-theta, low angle first)
- 2θ = 25.9°, I = 43, hkl 0 0 4
- 2θ = 28.1°, I = 100, hkl 1 0 0
- 2θ = 38.6°, I = 61, hkl 1 0 4
- 2θ = 40.2°, I = 39, hkl 1 1 0
- 2θ = 48.5°, I = 32, hkl 1 1 4
- 2θ = 49.0°, I = 15, hkl 1 0 6
- 2θ = 58.2°, I = 13, hkl 2 0 0
- 2θ = 64.8°, I = 14, hkl 2 0 4
- 2θ = 65.9°, I = 18, hkl 2 1 0
- 2θ = 72.0°, I = 21, hkl 2 1 4

=====

The following is a simulated X-ray powder pattern of Hf2V3Ge. It was derived from a structure optimized by DFT (GGA-PBE), using Cu Kα.
Neutral-atom scattering factors, no anomalous dispersion.

Cell and atoms:
abc: 5.1547 5.1547 8.5700
angles: 90.00 90.00 120.00
Space group P6_3/mmc (No. 194)
Unique sites:
Hf1 0.3333 0.6667 0.0610
V1 0.1779 0.3559 0.7500
Ge1 0.0000 0.0000 0.0000

Peak list (10 most intense, 10 to 80 degrees two-theta, low angle first)
- 2θ = 20.7°, I = 20, hkl 0 0 2
- 2θ = 34.8°, I = 79, hkl 1 1 0
- 2θ = 37.4°, I = 98, hkl 1 0 3
- 2θ = 40.9°, I = 100, hkl 1 1 2
- 2θ = 41.8°, I = 38, hkl 2 0 1
- 2θ = 64.1°, I = 35, hkl 2 1 3
- 2θ = 66.5°, I = 24, hkl 3 0 2
- 2θ = 69.1°, I = 29, hkl 2 0 5
- 2θ = 73.5°, I = 19, hkl 2 2 0
- 2θ = 79.7°, I = 21, hkl 2 1 5